Entry 1:
The following is a calculated X-ray powder pattern of Ti2Ge2Te. It was derived from the GGA-PBE geometry in Alexandria, using Cu Kα (weighted mean of Kα1 and Kα2).
Intensities are scaled so that the largest is 100.

Principal peaks in the range 10 to 90 degrees two-theta, low angle first:
hkl, d/Å, two_theta, Rel. int.
0 0 4, 3.455, 25.79, 26
1 0 3, 2.871, 31.15, 47
1 1 2, 2.430, 36.99, 100
1 0 5, 2.208, 40.87, 40
2 0 0, 1.836, 49.67, 32
1 1 6, 1.723, 53.17, 18
2 1 5, 1.411, 66.21, 18
2 0 8, 1.258, 75.59, 14
1 1 10, 1.220, 78.40, 16
3 1 2, 1.145, 84.66, 18

Crystal structure
Unit cell a=3.6710 b=3.6710 c=13.8187 alpha=90.00 beta=90.00 gamma=90.00
Space group I4/mmm (No. 139)
One atom of each set of equivalent atoms:
Ti1 0.0000 0.0000 0.1054 [4 per cell]
Ge1 0.0000 0.5000 0.2500 [4 per cell]
Te1 0.0000 0.0000 0.5000 [2 per cell]

Entry 2:
The following is a calculated X-ray powder pattern of Y3Al3Ga. It was derived from the GGA-PBE geometry in Alexandria, using Cu Kα (weighted mean of Kα1 and Kα2).
Intensities are scaled so that the largest is 100.

Principal peaks in the range 10 to 90 degrees two-theta, low angle first:
hkl, d/Å, two_theta, Rel. int.
0 1 3, 3.637, 24.48, 35
1 1 2, 2.753, 32.52, 100
1 0 5, 2.706, 33.10, 56
1 1 4, 2.469, 36.38, 11
0 1 7, 2.340, 38.47, 39
0 2 0, 2.202, 40.98, 25
2 0 0, 1.894, 48.03, 16
1 2 5, 1.708, 53.66, 27
2 1 7, 1.472, 63.15, 18
2 2 0, 1.436, 64.93, 12

Crystal structure
Unit cell a=3.7886 b=4.4046 c=19.3354 alpha=90.00 beta=90.00 gamma=90.00
Space group Imm2 (No. 44)
One atom of each set of equivalent atoms:
Y1 0.0000 0.0000 0.0000 [2 per cell]
Y2 0.0000 0.0000 0.3845 [2 per cell]
Y3 0.0000 0.5000 0.1941 [2 per cell]
Al1 0.0000 0.0000 0.5528 [2 per cell]
Al2 0.0000 0.0000 0.8330 [2 per cell]
Al3 0.0000 0.5000 0.6276 [2 per cell]
Ga1 0.0000 0.5000 0.7589 [2 per cell]

What did the second record say?
The following is a calculated X-ray powder pattern of Y3Al3Ga. It was derived from the GGA-PBE geometry in Alexandria, using Cu Kα (weighted mean of Kα1 and Kα2).
Intensities are scaled so that the largest is 100.

Principal peaks in the range 10 to 90 degrees two-theta, low angle first:
hkl, d/Å, two_theta, Rel. int.
0 1 3, 3.637, 24.48, 35
1 1 2, 2.753, 32.52, 100
1 0 5, 2.706, 33.10, 56
1 1 4, 2.469, 36.38, 11
0 1 7, 2.340, 38.47, 39
0 2 0, 2.202, 40.98, 25
2 0 0, 1.894, 48.03, 16
1 2 5, 1.708, 53.66, 27
2 1 7, 1.472, 63.15, 18
2 2 0, 1.436, 64.93, 12

Crystal structure
Unit cell a=3.7886 b=4.4046 c=19.3354 alpha=90.00 beta=90.00 gamma=90.00
Space group Imm2 (No. 44)
One atom of each set of equivalent atoms:
Y1 0.0000 0.0000 0.0000 [2 per cell]
Y2 0.0000 0.0000 0.3845 [2 per cell]
Y3 0.0000 0.5000 0.1941 [2 per cell]
Al1 0.0000 0.0000 0.5528 [2 per cell]
Al2 0.0000 0.0000 0.8330 [2 per cell]
Al3 0.0000 0.5000 0.6276 [2 per cell]
Ga1 0.0000 0.5000 0.7589 [2 per cell]